The following is a simulated powder X-ray diffraction pattern of La2Zr2O7. It was derived from a cell relaxed with PBE, using Cu Ka.
Neutral-atom scattering factors, no anomalous dispersion.

Most intense lines, 2θ from 15° to 90°, by angle:
hkl 2 2 2, 28.77 deg, I 100
hkl 4 0 0, 33.34 deg, I 28
hkl 4 4 0, 47.86 deg, I 54
hkl 6 2 2, 56.80 deg, I 43
hkl 6 6 2, 77.38 deg, I 17
hkl 8 4 4, 89.27 deg, I 17

Cell and atoms:
abc: 10.751 10.751 10.751
angles: 90.00 90.00 90.00
Space group Fd-3m (No. 227, origin choice 2)
Inequivalent atoms, fractional coordinates:
La 0.000 0.000 0.000 [16 per cell]
Zr 0.000 0.000 0.500 [16 per cell]
O 0.117 0.375 0.875 [48 per cell]
O 0.125 0.125 0.625 [8 per cell]

The following is a simulated powder X-ray diffraction pattern of TmMgZn2. It was derived from a cell relaxed with PBE, using Cu Ka.
Neutral-atom scattering factors, no anomalous dispersion.

Most intense lines, 2θ from 15° to 90°, by angle:
hkl 1 1 1, 22.70 deg, I 42
hkl 2 2 0, 37.49 deg, I 100
hkl 3 1 1, 44.27 deg, I 22
hkl 4 0 0, 54.06 deg, I 17
hkl 4 2 2, 67.64 deg, I 34
hkl 4 4 0, 79.99 deg, I 11

Cell and atoms:
abc: 6.785 6.785 6.785
angles: 90.00 90.00 90.00
Space group Fm-3m (No. 225)
Inequivalent atoms, fractional coordinates:
Tm 0.000 0.000 0.000 [4 per cell]
Mg 0.000 0.000 0.500 [4 per cell]
Zn 0.250 0.250 0.250 [8 per cell]

The following is a simulated powder X-ray diffraction pattern of K2CaNd4Nb2O12. It was derived from a cell relaxed with PBE, using Cu Ka.
Neutral-atom scattering factors, no anomalous dispersion.

Most intense lines, 2θ from 15° to 90°, by angle:
hkl 3 1 -1, 25.77 deg, I 60
hkl 1 1 2, 28.13 deg, I 100
hkl 3 1 -2, 29.13 deg, I 40
hkl 0 2 0, 30.48 deg, I 41
hkl 4 2 0, 42.37 deg, I 29
hkl 2 2 -3, 43.11 deg, I 29

Cell and atoms:
abc: 13.045 5.866 9.147
angles: 90.00 107.65 90.00
Space group Cm (No. 8)
Inequivalent atoms, fractional coordinates:
K 0.000 0.000 0.000 [2 per cell]
K 0.230 0.000 0.980 [2 per cell]
Ca 0.264 0.500 0.469 [2 per cell]
Nd 0.010 0.000 0.565 [2 per cell]
Nd 0.015 0.500 0.284 [2 per cell]
Nd 0.181 0.500 0.726 [2 per cell]
Nd 0.244 0.000 0.403 [2 per cell]
Nb 0.274 0.500 0.174 [2 per cell]
Nb 0.439 0.000 0.779 [2 per cell]
O 0.059 0.267 0.781 [4 per cell]
O 0.120 0.262 0.493 [4 per cell]
O 0.162 0.277 0.212 [4 per cell]
O 0.294 0.500 0.980 [2 per cell]
O 0.347 0.240 0.645 [4 per cell]
O 0.379 0.271 0.332 [4 per cell]
O 0.432 0.000 0.981 [2 per cell]

The following is a simulated powder X-ray diffraction pattern of NdH3CSO7. It was derived from a cell relaxed with PBE, using Cu Ka.
Neutral-atom scattering factors, no anomalous dispersion.

Most intense lines, 2θ from 15° to 90°, by angle:
hkl 1 1 0, 17.79 deg, I 46
hkl 1 0 2, 19.49 deg, I 100
hkl 2 0 1, 26.36 deg, I 99
hkl 2 1 0, 28.30 deg, I 58
hkl 2 0 3, 33.98 deg, I 57
hkl 1 2 4, 41.67 deg, I 51

Cell and atoms:
abc: 7.051 7.051 11.935
angles: 90.00 90.00 90.00
Space group P4_1 (No. 76)
Inequivalent atoms, fractional coordinates:
Nd 0.113 0.629 0.000 [4 per cell]
H 0.024 0.138 0.964 [4 per cell]
H 0.176 0.395 0.786 [4 per cell]
H 0.384 0.459 0.822 [4 per cell]
C 0.115 0.133 0.039 [4 per cell]
S 0.230 0.611 0.304 [4 per cell]
O 0.027 0.167 0.328 [4 per cell]
O 0.107 0.627 0.204 [4 per cell]
O 0.112 0.565 0.402 [4 per cell]
O 0.162 0.289 0.085 [4 per cell]
O 0.206 0.326 0.577 [4 per cell]
O 0.256 0.430 0.850 [4 per cell]
O 0.377 0.460 0.286 [4 per cell]

The following is a simulated powder X-ray diffraction pattern of Ho3Ni7B2. It was derived from a cell relaxed with PBE, using Cu Ka.
Neutral-atom scattering factors, no anomalous dispersion.

Most intense lines, 2θ from 15° to 90°, by angle:
hkl 2 0 0, 35.78 deg, I 48
hkl 1 1 5, 37.83 deg, I 100
hkl 2 2 1, 42.05 deg, I 68
hkl 2 0 4, 44.19 deg, I 93
hkl 3 1 5, 65.64 deg, I 40
hkl 2 2 9, 74.25 deg, I 29

Cell and atoms:
abc: 5.016 8.701 14.207
angles: 90.00 90.00 90.00
Space group Cmcm (No. 63)
Inequivalent atoms, fractional coordinates:
Ho 0.000 0.167 0.031 [8 per cell]
Ho 0.000 0.167 0.250 [4 per cell]
Ni 0.000 0.334 0.649 [8 per cell]
Ni 0.000 0.500 0.000 [4 per cell]
Ni 0.249 0.417 0.149 [16 per cell]
B 0.000 0.166 0.750 [4 per cell]
B 0.000 0.500 0.250 [4 per cell]

The following is a simulated powder X-ray diffraction pattern of VFeAs. It was derived from a cell relaxed with PBE, using Cu Ka.
Neutral-atom scattering factors, no anomalous dispersion.

Most intense lines, 2θ from 15° to 90°, by angle:
hkl 1 1 1, 38.50 deg, I 67
hkl 2 0 1, 42.30 deg, I 100
hkl 2 1 0, 45.61 deg, I 33
hkl 0 0 2, 49.79 deg, I 32
hkl 3 0 0, 52.15 deg, I 30
hkl 2 1 1, 52.35 deg, I 45

Cell and atoms:
abc: 6.0759 6.0759 3.6628
angles: 90.00 90.00 120.00
Space group P-62m (No. 189)
Inequivalent atoms, fractional coordinates:
V 0.0000 0.5829 0.0000 [3 per cell]
Fe 0.0000 0.2477 0.5000 [3 per cell]
As 0.0000 0.0000 0.0000 [1 per cell]
As 0.3333 0.6667 0.5000 [2 per cell]

The following is a simulated powder X-ray diffraction pattern of Rb2PdSe16. It was derived from a cell relaxed with PBE, using Cu Ka.
Neutral-atom scattering factors, no anomalous dispersion.

Most intense lines, 2θ from 15° to 90°, by angle:
hkl 1 1 1, 15.82 deg, I 34
hkl 0 0 2, 25.13 deg, I 100
hkl 2 1 2, 29.59 deg, I 27
hkl 4 1 1, 31.12 deg, I 42
hkl 3 2 2, 35.60 deg, I 25
hkl 6 2 2, 51.51 deg, I 22

Cell and atoms:
abc: 12.967 12.967 7.073
angles: 90.00 90.00 90.00
Space group P-4b2 (No. 117)
Inequivalent atoms, fractional coordinates:
Rb 0.000 0.000 0.000 [2 per cell]
Rb 0.000 0.500 0.500 [2 per cell]
Pd 0.000 0.000 0.500 [2 per cell]
Se 0.034 0.187 0.532 [8 per cell]
Se 0.077 0.691 0.914 [8 per cell]
Se 0.081 0.308 0.090 [8 per cell]
Se 0.202 0.789 0.373 [8 per cell]

The following is a simulated powder X-ray diffraction pattern of Sc2ZnIr. It was derived from a cell relaxed with PBE, using Cu Ka.
Neutral-atom scattering factors, no anomalous dispersion.

Most intense lines, 2θ from 15° to 90°, by angle:
hkl 1 1 1, 23.47 deg, I 27
hkl 2 0 0, 27.17 deg, I 30
hkl 2 2 0, 38.80 deg, I 100
hkl 3 1 1, 45.85 deg, I 14
hkl 4 0 0, 56.04 deg, I 17
hkl 4 2 2, 70.24 deg, I 33

Cell and atoms:
abc: 6.565 6.565 6.565
angles: 90.00 90.00 90.00
Space group Fm-3m (No. 225)
Inequivalent atoms, fractional coordinates:
Sc 0.250 0.250 0.250 [8 per cell]
Zn 0.000 0.000 0.000 [4 per cell]
Ir 0.000 0.000 0.500 [4 per cell]

The following is a simulated powder X-ray diffraction pattern of ZrSnIr. It was derived from a cell relaxed with PBE, using Cu Ka.
Neutral-atom scattering factors, no anomalous dispersion.

Most intense lines, 2θ from 15° to 90°, by angle:
hkl 1 1 0, 24.03 deg, I 34
hkl 1 1 2, 34.26 deg, I 61
hkl 2 0 2, 37.09 deg, I 100
hkl 3 0 0, 42.25 deg, I 63
hkl 2 1 2, 44.68 deg, I 48
hkl 3 0 4, 66.86 deg, I 34

Cell and atoms:
abc: 7.4093 7.4093 7.3981
angles: 90.00 90.00 120.00
Space group P-62c (No. 190)
Inequivalent atoms, fractional coordinates:
Zr 0.0204 0.4059 0.2500 [6 per cell]
Sn 0.0000 0.7295 0.0000 [6 per cell]
Ir 0.0000 0.0000 0.2500 [2 per cell]
Ir 0.3333 0.6667 0.5375 [4 per cell]